[1]
The following is a theoretical powder diffractogram of K3Ca. It was derived from DFT lattice parameters and positions (PBE), using CuKα.
Neutral-atom scattering factors, no anomalous dispersion.

Main lines, in order of rising 2θ (5° ≤ 2θ ≤ 70°):
2θ (°)	d (Å)	Rel. int.
24.7	3.611	100
26.0	3.427	20
29.7	3.004	31
39.9	2.259	23
42.6	2.124	10
45.1	2.012	13
49.8	1.831	24
50.5	1.806	11

Structural model:
Cell lengths 4.2489, 4.2489, 13.7067 Å; angles 90.00, 90.00, 90.00 degrees
Positions (direct):
K1 0.0000 0.0000 0.0000
K2 0.5000 0.5000 0.2700
K3 0.5000 0.5000 0.7300
Ca1 0.0000 0.0000 0.5000



[2]
The following is a theoretical powder diffractogram of Dy3Y4Th5. It was derived from DFT lattice parameters and positions (PBE), using CuKα.
Neutral-atom scattering factors, no anomalous dispersion.

Main lines, in order of rising 2θ (5° ≤ 2θ ≤ 70°):
2θ (°)	d (Å)	Rel. int.
27.3	3.261	44
27.8	3.206	31
29.6	3.019	33
30.2	2.962	91
31.1	2.879	63
32.1	2.789	100
33.6	2.669	71
43.8	2.065	59

Structural model:
Cell lengths 6.6389, 6.6389, 12.8848 Å; angles 114.10, 114.10, 52.99 degrees
Positions (direct):
Dy1 0.0000 0.0000 0.0000
Dy2 0.1429 0.1429 0.7770
Dy3 0.8571 0.8571 0.2230
Y1 0.1316 0.1316 0.4876
Y2 0.2880 0.2880 0.0862
Y3 0.7120 0.7120 0.9138
Y4 0.8684 0.8684 0.5124
Th1 0.3220 0.3220 0.3600
Th2 0.4192 0.4192 0.7018
Th3 0.5000 0.5000 0.0000
Th4 0.5808 0.5808 0.2982
Th5 0.6780 0.6780 0.6400



[3]
The following is a theoretical powder diffractogram of Pr4Co2Cl5. It was derived from DFT lattice parameters and positions (PBE), using CuKα.
Neutral-atom scattering factors, no anomalous dispersion.

Main lines, in order of rising 2θ (5° ≤ 2θ ≤ 70°):
2θ (°)	d (Å)	Rel. int.
11.8	7.476	75
24.5	3.641	29
26.4	3.382	38
29.3	3.049	33
31.4	2.850	100
39.8	2.265	76
46.9	1.936	23
64.7	1.442	24

Structural model:
Cell lengths 10.2244, 10.2244, 10.2244 Å; angles 157.07, 132.77, 53.13 degrees
Positions (direct):
Pr1 0.1888 0.1888 0.0000
Pr2 0.2216 0.5000 0.7216
Pr3 0.7784 0.5000 0.2784
Pr4 0.8112 0.8112 0.0000
Co1 0.0574 0.0574 0.0000
Co2 0.9426 0.9426 0.0000
Cl1 0.0879 0.3270 0.7609
Cl2 0.4338 0.6730 0.7609
Cl3 0.5000 0.0000 0.5000
Cl4 0.5662 0.3270 0.2391
Cl5 0.9121 0.6730 0.2391



[4]
The following is a theoretical powder diffractogram of Tl2InBr5. It was derived from DFT lattice parameters and positions (PBE), using CuKα.
Neutral-atom scattering factors, no anomalous dispersion.

Main lines, in order of rising 2θ (5° ≤ 2θ ≤ 70°):
2θ (°)	d (Å)	Rel. int.
13.8	6.435	47
15.3	5.800	38
22.3	3.979	100
27.7	3.217	98
32.8	2.734	81
38.8	2.320	56
40.0	2.254	44
47.0	1.933	36

Structural model:
Cell lengths 13.9380, 7.7336, 7.7341 Å; angles 90.00, 123.66, 90.00 degrees
Positions (direct):
Tl1 0.0000 0.0000 0.0000
Tl2 0.0000 0.5000 0.4970
Tl3 0.5000 0.0000 0.4970
Tl4 0.5000 0.5000 0.0000
In1 0.2153 0.5000 0.2119
In2 0.7153 0.0000 0.2119
Br1 0.1594 0.2626 0.9193
Br2 0.1594 0.7374 0.9193
Br3 0.1610 0.2628 0.3956
Br4 0.1610 0.7372 0.3956
Br5 0.4353 0.5000 0.4302
Br6 0.6594 0.2374 0.9193
Br7 0.6594 0.7626 0.9193
Br8 0.6610 0.2372 0.3956
Br9 0.6610 0.7628 0.3956
Br10 0.9353 0.0000 0.4302